Computed X-ray powder pattern
Compound: InPb3Au3
Radiation: copper Kα
Structure: a DFT-relaxed cell (PBE, Alexandria)
Neutral-atom scattering factors, no anomalous dispersion.

Principal peaks in the range 15 to 90 degrees two-theta, by angle:
| 2theta | d (Å) | I/Imax |
| --- | --- | --- |
| 29.8 | 3.000 | 40.2 |
| 30.6 | 2.923 | 82.1 |
| 32.5 | 2.756 | 51.0 |
| 34.2 | 2.621 | 60.3 |
| 35.8 | 2.508 | 100.0 |
| 42.1 | 2.144 | 52.3 |

Structural model:
Cell: 7.0407 7.0407 7.3289 Å, 90.91 90.91 96.22°
Sites, in units of the cell vectors:
In  0.2391  0.2391  0.3238
In  0.7609  0.7609  0.6762
Pb  0.1609  0.8391  0.0000
Pb  0.2526  0.7474  0.5000
Pb  0.4155  0.4155  0.8015
Pb  0.5845  0.5845  0.1985
Pb  0.7474  0.2526  0.5000
Pb  0.8391  0.1609  0.0000
Au  0.0080  0.4938  0.7795
Au  0.1036  0.1036  0.6707
Au  0.4938  0.0080  0.7795
Au  0.5062  0.9920  0.2205
Au  0.8964  0.8964  0.3293
Au  0.9920  0.5062  0.2205

Computed X-ray powder pattern
Compound: Mn
Radiation: copper Kα
Structure: a DFT-relaxed cell (PBE, Alexandria)
Neutral-atom scattering factors, no anomalous dispersion.

Principal peaks in the range 15 to 90 degrees two-theta, by angle:
| 2theta | d (Å) | I/Imax |
| --- | --- | --- |
| 45.3 | 2.003 | 56.2 |
| 46.3 | 1.960 | 100.0 |
| 66.0 | 1.416 | 16.4 |
| 69.2 | 1.357 | 5.8 |
| 84.4 | 1.148 | 29.7 |
| 86.6 | 1.124 | 12.1 |

Structural model:
Cell: 2.8325 2.8325 2.7149 Å, 90.00 90.00 90.00°
Sites, in units of the cell vectors:
Mn  0.2500  0.2500  0.2163
Mn  0.7500  0.7500  0.7837

Computed X-ray powder pattern
Compound: Ni3Au5
Radiation: copper Kα
Structure: a DFT-relaxed cell (PBE, Alexandria)
Neutral-atom scattering factors, no anomalous dispersion.

Principal peaks in the range 15 to 90 degrees two-theta, by angle:
| 2theta | d (Å) | I/Imax |
| --- | --- | --- |
| 36.8 | 2.445 | 51.4 |
| 36.9 | 2.433 | 39.0 |
| 40.7 | 2.217 | 100.0 |
| 41.9 | 2.156 | 24.4 |
| 42.1 | 2.148 | 65.6 |
| 65.6 | 1.423 | 24.4 |

Structural model:
Cell: 7.4701 7.4701 5.2517 Å, 90.00 90.00 120.00°
Sites, in units of the cell vectors:
Ni  0.0000  0.4095  0.2500
Ni  0.0000  0.5905  0.7500
Ni  0.4095  0.0000  0.2500
Ni  0.4095  0.4095  0.7500
Ni  0.5905  0.0000  0.7500
Ni  0.5905  0.5905  0.2500
Au  0.0000  0.2302  0.7500
Au  0.0000  0.7698  0.2500
Au  0.2302  0.0000  0.7500
Au  0.2302  0.2302  0.2500
Au  0.3333  0.6667  0.0000
Au  0.3333  0.6667  0.5000
Au  0.6667  0.3333  0.0000
Au  0.6667  0.3333  0.5000
Au  0.7698  0.0000  0.2500
Au  0.7698  0.7698  0.7500

Computed X-ray powder pattern
Compound: Li2Nd2SmTl2
Radiation: copper Kα
Structure: a DFT-relaxed cell (PBE, Alexandria)
Neutral-atom scattering factors, no anomalous dispersion.

Principal peaks in the range 15 to 90 degrees two-theta, by angle:
| 2theta | d (Å) | I/Imax |
| --- | --- | --- |
| 21.1 | 4.206 | 53.1 |
| 21.9 | 4.064 | 30.5 |
| 31.1 | 2.876 | 79.6 |
| 33.7 | 2.663 | 94.8 |
| 36.6 | 2.458 | 100.0 |
| 63.6 | 1.463 | 34.7 |

Structural model:
Cell: 9.5328 9.5328 9.5328 Å, 29.88 29.88 29.88°
Sites, in units of the cell vectors:
Li  0.1064  0.1064  0.1064
Li  0.8936  0.8936  0.8936
Nd  0.3732  0.3732  0.3732
Nd  0.6268  0.6268  0.6268
Sm  0.5000  0.5000  0.5000
Tl  0.2353  0.2353  0.2353
Tl  0.7647  0.7647  0.7647

Computed X-ray powder pattern
Compound: Tb4Ni
Radiation: copper Kα
Structure: a DFT-relaxed cell (PBE, Alexandria)
Neutral-atom scattering factors, no anomalous dispersion.

Principal peaks in the range 15 to 90 degrees two-theta, by angle:
| 2theta | d (Å) | I/Imax |
| --- | --- | --- |
| 29.7 | 3.007 | 39.3 |
| 31.0 | 2.886 | 100.0 |
| 33.6 | 2.667 | 37.7 |
| 35.9 | 2.504 | 26.8 |
| 39.9 | 2.259 | 21.1 |
| 55.3 | 1.662 | 18.5 |

Structural model:
Cell: 7.1842 7.1842 7.1842 Å, 107.42 107.42 113.65°
Sites, in units of the cell vectors:
Tb  0.0426  0.8050  0.1704
Tb  0.1154  0.4450  0.7376
Tb  0.1278  0.9574  0.7624
Tb  0.1950  0.3654  0.2376
Tb  0.5550  0.2926  0.6704
Tb  0.6222  0.8846  0.3296
Tb  0.6346  0.8722  0.8296
Tb  0.7074  0.3778  0.2624
Ni  0.2500  0.7500  0.5000
Ni  0.5000  0.5000  0.0000

Computed X-ray powder pattern
Compound: Pm2N
Radiation: copper Kα
Structure: a DFT-relaxed cell (PBE, Alexandria)
Neutral-atom scattering factors, no anomalous dispersion.

Principal peaks in the range 15 to 90 degrees two-theta, by angle:
| 2theta | d (Å) | I/Imax |
| --- | --- | --- |
| 28.1 | 3.176 | 23.9 |
| 28.6 | 3.121 | 18.8 |
| 32.0 | 2.801 | 100.0 |
| 40.6 | 2.224 | 18.0 |
| 50.7 | 1.802 | 20.6 |
| 61.1 | 1.516 | 13.4 |

Structural model:
Cell: 3.6039 3.6039 6.3526 Å, 90.19 90.19 59.99°
Sites, in units of the cell vectors:
Pm  0.1674  0.1674  0.2158
Pm  0.8326  0.8326  0.7842
N  0.5000  0.5000  0.0000